Record 1
# Li8MnO4F2
Computed XRD peak list, Cu Ka. Input: DFT lattice parameters and positions (PBE+U).
No peak broadening, texture or thermal motion is included.

Atomic structure:
```
data_Li8MnO4F2
_symmetry_space_group_name_H-M 'C m c 21'
_symmetry_Int_Tables_number 36
_cell_length_a 9.8210
_cell_length_b 5.7299
_cell_length_c 10.8821
_cell_angle_alpha 90.00
_cell_angle_beta 90.00
_cell_angle_gamma 90.00
loop_
_symmetry_equiv_pos_as_xyz
'x,y,z'
'-x,-y,z+1/2'
'-x,y,z'
'x,-y,z+1/2'
'x+1/2,y+1/2,z'
'-x+1/2,-y+1/2,z+1/2'
'-x+1/2,y+1/2,z'
'x+1/2,-y+1/2,z+1/2'
loop_
_atom_site_label
_atom_site_fract_x
_atom_site_fract_y
_atom_site_fract_z
Li1 0.0000 0.0921 0.0000
Li2 0.0000 0.1868 0.6464
Li3 0.1521 0.3457 0.1359
Li4 0.1616 0.0068 0.7752
Li5 0.1887 0.3037 0.5112
Mn1 0.0000 0.4742 0.8727
O1 0.0000 0.1503 0.8234
O2 0.0000 0.4843 0.5573
O3 0.1697 0.0039 0.0909
F1 0.1740 0.3221 0.3229
```

Most intense lines, 5 to 70 degrees two-theta, by angle:
17.92°, intensity 75
24.31°, intensity 100
24.42°, intensity 51
31.47°, intensity 46
32.56°, intensity 69
32.92°, intensity 65

=====

Record 2
# LiMn2O2F3
Computed XRD peak list, Cu Ka. Input: DFT lattice parameters and positions (PBE+U).
No peak broadening, texture or thermal motion is included.

Atomic structure:
```
data_LiMn2O2F3
_symmetry_space_group_name_H-M 'C m c m'
_symmetry_Int_Tables_number 63
_symmetry_space_group_name_Hall '-C 2c 2'
_cell_length_a 3.7960
_cell_length_b 9.8496
_cell_length_c 10.5756
_cell_angle_alpha 90.00
_cell_angle_beta 90.00
_cell_angle_gamma 90.00
loop_
_atom_site_label
_atom_site_fract_x
_atom_site_fract_y
_atom_site_fract_z
Li1 0.0000 0.1689 0.2500
Mn1 0.0000 0.1559 0.5581
O1 0.0000 0.3084 0.0569
F1 0.0000 0.0280 0.1203
F2 0.0000 0.2493 0.7500
```

Most intense lines, 5 to 70 degrees two-theta, by angle:
16.77°, intensity 100
18.01°, intensity 32
25.14°, intensity 84
31.20°, intensity 61
47.93°, intensity 32
58.95°, intensity 36

=====

Record 3
# Li2Mn4OF8
Computed XRD peak list, Cu Ka. Input: DFT lattice parameters and positions (PBE+U).
No peak broadening, texture or thermal motion is included.

Atomic structure:
```
data_Li2Mn4OF8
_symmetry_space_group_name_H-M 'C 1 c 1'
_symmetry_Int_Tables_number 9
_cell_length_a 9.4834
_cell_length_b 5.3693
_cell_length_c 14.6895
_cell_angle_alpha 90.00
_cell_angle_beta 90.82
_cell_angle_gamma 90.00
loop_
_symmetry_equiv_pos_as_xyz
'x,y,z'
'x,-y,z+1/2'
'x+1/2,y+1/2,z'
'x+1/2,-y+1/2,z+1/2'
loop_
_atom_site_label
_atom_site_fract_x
_atom_site_fract_y
_atom_site_fract_z
Li1 0.0000 0.0039 0.0000
Li2 0.4855 0.4762 0.7898
Mn1 0.1667 0.4997 0.4707
Mn2 0.1691 0.4815 0.6886
Mn3 0.3264 0.0136 0.8391
Mn4 0.3355 0.0157 0.6359
O1 0.3299 0.2801 0.7378
F1 0.0213 0.3433 0.0721
F2 0.1467 0.1496 0.9098
F3 0.1558 0.1943 0.5685
F4 0.1675 0.1606 0.2397
F5 0.3153 0.3410 0.0717
F6 0.3401 0.3352 0.4104
F7 0.4788 0.1808 0.2384
F8 0.4944 0.1980 0.9078
```

Most intense lines, 5 to 70 degrees two-theta, by angle:
18.72°, intensity 55
18.99°, intensity 95
30.87°, intensity 100
31.04°, intensity 80
32.88°, intensity 60
50.44°, intensity 74

=====

Question: Which formula does entry 2 have?
Answer: LiMn2O2F3

=====

Repeat the first record exactly.
# Li8MnO4F2
Computed XRD peak list, Cu Ka. Input: DFT lattice parameters and positions (PBE+U).
No peak broadening, texture or thermal motion is included.

Atomic structure:
```
data_Li8MnO4F2
_symmetry_space_group_name_H-M 'C m c 21'
_symmetry_Int_Tables_number 36
_cell_length_a 9.8210
_cell_length_b 5.7299
_cell_length_c 10.8821
_cell_angle_alpha 90.00
_cell_angle_beta 90.00
_cell_angle_gamma 90.00
loop_
_symmetry_equiv_pos_as_xyz
'x,y,z'
'-x,-y,z+1/2'
'-x,y,z'
'x,-y,z+1/2'
'x+1/2,y+1/2,z'
'-x+1/2,-y+1/2,z+1/2'
'-x+1/2,y+1/2,z'
'x+1/2,-y+1/2,z+1/2'
loop_
_atom_site_label
_atom_site_fract_x
_atom_site_fract_y
_atom_site_fract_z
Li1 0.0000 0.0921 0.0000
Li2 0.0000 0.1868 0.6464
Li3 0.1521 0.3457 0.1359
Li4 0.1616 0.0068 0.7752
Li5 0.1887 0.3037 0.5112
Mn1 0.0000 0.4742 0.8727
O1 0.0000 0.1503 0.8234
O2 0.0000 0.4843 0.5573
O3 0.1697 0.0039 0.0909
F1 0.1740 0.3221 0.3229
```

Most intense lines, 5 to 70 degrees two-theta, by angle:
17.92°, intensity 75
24.31°, intensity 100
24.42°, intensity 51
31.47°, intensity 46
32.56°, intensity 69
32.92°, intensity 65

=====

What did the third record say?
# Li2Mn4OF8
Computed XRD peak list, Cu Ka. Input: DFT lattice parameters and positions (PBE+U).
No peak broadening, texture or thermal motion is included.

Atomic structure:
```
data_Li2Mn4OF8
_symmetry_space_group_name_H-M 'C 1 c 1'
_symmetry_Int_Tables_number 9
_cell_length_a 9.4834
_cell_length_b 5.3693
_cell_length_c 14.6895
_cell_angle_alpha 90.00
_cell_angle_beta 90.82
_cell_angle_gamma 90.00
loop_
_symmetry_equiv_pos_as_xyz
'x,y,z'
'x,-y,z+1/2'
'x+1/2,y+1/2,z'
'x+1/2,-y+1/2,z+1/2'
loop_
_atom_site_label
_atom_site_fract_x
_atom_site_fract_y
_atom_site_fract_z
Li1 0.0000 0.0039 0.0000
Li2 0.4855 0.4762 0.7898
Mn1 0.1667 0.4997 0.4707
Mn2 0.1691 0.4815 0.6886
Mn3 0.3264 0.0136 0.8391
Mn4 0.3355 0.0157 0.6359
O1 0.3299 0.2801 0.7378
F1 0.0213 0.3433 0.0721
F2 0.1467 0.1496 0.9098
F3 0.1558 0.1943 0.5685
F4 0.1675 0.1606 0.2397
F5 0.3153 0.3410 0.0717
F6 0.3401 0.3352 0.4104
F7 0.4788 0.1808 0.2384
F8 0.4944 0.1980 0.9078
```

Most intense lines, 5 to 70 degrees two-theta, by angle:
18.72°, intensity 55
18.99°, intensity 95
30.87°, intensity 100
31.04°, intensity 80
32.88°, intensity 60
50.44°, intensity 74